Computed X-ray diffraction stick pattern
Compound: Nd2HoEr12
Radiation: a wavelength of 1.5418 Å
Structure: the GGA-PBE geometry in Alexandria

Structural model:
```
data_Nd2HoEr12
_chemical_formula_sum 'Nd8 Ho4 Er48'
_cell_length_a 7.111
_cell_length_b 11.142
_cell_length_c 23.985
_cell_angle_alpha 90.00
_cell_angle_beta 94.20
_cell_angle_gamma 90.00
_space_group_name_H-M_alt 'C 1 2/m 1'
_space_group_IT_number 12
_space_group_name_Hall '-C 2y'
loop_
_atom_site_label
_atom_site_fract_x
_atom_site_fract_y
_atom_site_fract_z
_atom_site_occupancy
Nd1 0.069 0.000 0.279 1
Nd2 0.070 0.500 0.280 1
Ho1 0.250 0.000 0.000 1
Er1 0.017 0.251 0.066 1
Er2 0.033 0.000 0.133 1
Er3 0.033 0.500 0.134 1
Er4 0.111 0.252 0.445 1
Er5 0.141 0.000 0.572 1
Er6 0.144 0.500 0.570 1
Er7 0.168 0.250 0.670 1
Er8 0.202 0.250 0.809 1
```

Most intense lines, 5 to 70 degrees two-theta, in order of rising 2θ:
- 29.88 deg, d 2.990, rel. 220
- 30.34 deg, d 2.946, rel. 240
- 30.69 deg, d 2.913, rel. 628
- 31.27 deg, d 2.860, rel. 1000
- 32.13 deg, d 2.785, rel. 796
- 32.53 deg, d 2.753, rel. 397
- 34.03 deg, d 2.635, rel. 427
- 34.35 deg, d 2.611, rel. 538
- 36.40 deg, d 2.468, rel. 192
- 46.37 deg, d 1.958, rel. 298
- 51.40 deg, d 1.778, rel. 214
- 61.92 deg, d 1.499, rel. 246

---

Computed X-ray diffraction stick pattern
Compound: ScSeIN2
Radiation: a wavelength of 1.5418 Å
Structure: the GGA-PBE geometry in Alexandria

Structural model:
```
data_ScSeIN2
_chemical_formula_sum 'Sc1 Se1 I1 N2'
_cell_length_a 4.288
_cell_length_b 4.288
_cell_length_c 6.194
_cell_angle_alpha 90.00
_cell_angle_beta 90.00
_cell_angle_gamma 90.00
_space_group_name_H-M_alt 'P 4/m m m'
_space_group_IT_number 123
_space_group_name_Hall '-P 4 2'
loop_
_atom_site_label
_atom_site_fract_x
_atom_site_fract_y
_atom_site_fract_z
_atom_site_occupancy
Sc1 0.000 0.000 0.000 1
Se1 0.500 0.500 0.500 1
I1 0.000 0.000 0.500 1
N1 0.000 0.500 0.000 1
```

Most intense lines, 5 to 70 degrees two-theta, in order of rising 2θ:
- 14.30 deg, d 6.194, rel. 859
- 20.71 deg, d 4.288, rel. 386
- 28.83 deg, d 3.097, rel. 786
- 29.46 deg, d 3.032, rel. 935
- 32.89 deg, d 2.723, rel. 1000
- 35.76 deg, d 2.511, rel. 183
- 41.69 deg, d 2.167, rel. 730
- 42.14 deg, d 2.144, rel. 532
- 44.73 deg, d 2.026, rel. 222
- 51.86 deg, d 1.763, rel. 559
- 53.71 deg, d 1.707, rel. 234
- 68.96 deg, d 1.362, rel. 228

---

Computed X-ray diffraction stick pattern
Compound: KIn2S2
Radiation: a wavelength of 1.5418 Å
Structure: the GGA-PBE geometry in Alexandria

Structural model:
```
data_KIn2S2
_chemical_formula_sum 'K4 In8 S8'
_cell_length_a 8.537
_cell_length_b 11.962
_cell_length_c 6.362
_cell_angle_alpha 90.00
_cell_angle_beta 109.61
_cell_angle_gamma 90.00
_space_group_name_H-M_alt 'C 1 2/m 1'
_space_group_IT_number 12
_space_group_name_Hall '-C 2y'
loop_
_atom_site_label
_atom_site_fract_x
_atom_site_fract_y
_atom_site_fract_z
_atom_site_occupancy
K1 0.000 0.179 0.000 1
In1 0.000 0.375 0.500 1
In2 0.239 0.000 0.661 1
S1 0.000 0.150 0.500 1
S2 0.216 0.500 0.935 1
```

Most intense lines, 5 to 70 degrees two-theta, in order of rising 2θ:
- 14.79 deg, d 5.988, rel. 1000
- 22.53 deg, d 3.946, rel. 551
- 26.71 deg, d 3.337, rel. 510
- 27.09 deg, d 3.292, rel. 512
- 29.82 deg, d 2.996, rel. 154
- 30.65 deg, d 2.917, rel. 291
- 32.56 deg, d 2.750, rel. 360
- 36.13 deg, d 2.486, rel. 347
- 37.48 deg, d 2.399, rel. 812
- 43.32 deg, d 2.089, rel. 446
- 45.09 deg, d 2.010, rel. 222
- 47.57 deg, d 1.911, rel. 167

---

Computed X-ray diffraction stick pattern
Compound: Pr3NdPb4
Radiation: a wavelength of 1.5418 Å
Structure: the GGA-PBE geometry in Alexandria

Structural model:
```
data_Pr3NdPb4
_chemical_formula_sum 'Pr6 Nd2 Pb8'
_cell_length_a 7.289
_cell_length_b 7.297
_cell_length_c 9.904
_cell_angle_alpha 90.00
_cell_angle_beta 111.51
_cell_angle_gamma 90.00
_space_group_name_H-M_alt 'C 1 2/m 1'
_space_group_IT_number 12
_space_group_name_Hall '-C 2y'
loop_
_atom_site_label
_atom_site_fract_x
_atom_site_fract_y
_atom_site_fract_z
_atom_site_occupancy
Pr1 0.000 0.000 0.000 1
Pr2 0.250 0.000 0.500 1
Nd1 0.000 0.500 0.000 1
Pb1 0.125 0.250 0.751 1
```

Most intense lines, 5 to 70 degrees two-theta, in order of rising 2θ:
- 19.26 deg, d 4.607, rel. 23
- 24.41 deg, d 3.647, rel. 28
- 31.28 deg, d 2.859, rel. 1000
- 34.79 deg, d 2.579, rel. 379
- 39.10 deg, d 2.304, rel. 138
- 40.07 deg, d 2.250, rel. 17
- 50.02 deg, d 1.823, rel. 137
- 53.33 deg, d 1.718, rel. 227
- 60.19 deg, d 1.537, rel. 317
- 65.24 deg, d 1.430, rel. 94
- 65.34 deg, d 1.428, rel. 31
- 66.00 deg, d 1.415, rel. 121